Record 1
Computed X-ray diffraction stick pattern
Compound: Na17Cd11Hg
Radiation: Cu Ka
Structure: a PBE-relaxed structure
Peak positions follow from Bragg's law for the DFT cell and can differ from measured ones.

Crystal structure
```
data_Na17Cd11Hg
_chemical_formula_sum 'Na34 Cd22 Hg2'
_space_group_name_H-M_alt 'C 1 m 1'
_space_group_IT_number 8
_space_group_name_Hall 'C -2y'
_cell_length_a 11.7216
_cell_length_b 16.5047
_cell_length_c 10.1434
_cell_angle_alpha 90.00
_cell_angle_beta 125.11
_cell_angle_gamma 90.00
loop_
_atom_site_label
_atom_site_fract_x
_atom_site_fract_y
_atom_site_fract_z
Na1 0.0000 0.0000 0.0000
Na2 0.0028 0.0000 0.6534
Na3 0.0669 0.3423 0.0640
Na4 0.1540 0.5000 0.3081
Na5 0.1582 0.1546 0.2496
Na6 0.1758 0.1729 0.6530
Na7 0.1894 0.5000 0.9349
Na8 0.2976 0.2955 0.9675
Na9 0.4084 0.0000 0.3758
Na10 0.4548 0.1381 0.6555
Na11 0.4835 0.2039 0.3412
Cd1 0.0040 0.1810 0.8382
Cd2 0.2280 0.4108 0.6546
Cd3 0.2709 0.0923 0.0171
Cd4 0.3208 0.3181 0.4709
Cd5 0.3670 0.0000 0.8375
Cd6 0.4090 0.4080 0.2919
Hg1 0.1925 0.0000 0.4780
```

The 10 most intense peaks (2θ from 10° to 90°), in order of rising 2θ:
two_theta	d/Å	I (rel.)	index
10.69	8.279	39	0 2 0
18.56	4.781	100	1 1 -2
18.61	4.768	25	1 3 -1
32.41	2.762	65	4 2 -2
32.50	2.755	31	1 5 1
35.88	2.503	34	3 1 1
36.02	2.493	69	3 1 -4
39.18	2.299	27	0 4 3
39.27	2.294	23	0 6 2
57.83	1.594	16	7 3 -3

Record 2
Computed X-ray diffraction stick pattern
Compound: Na6CdHg5
Radiation: Cu Ka
Structure: a PBE-relaxed structure
Peak positions follow from Bragg's law for the DFT cell and can differ from measured ones.

Crystal structure
```
data_Na6CdHg5
_chemical_formula_sum 'Na12 Cd2 Hg10'
_space_group_name_H-M_alt 'C 1 2/m 1'
_space_group_IT_number 12
_space_group_name_Hall '-C 2y'
_cell_length_a 16.3736
_cell_length_b 7.5630
_cell_length_c 5.2760
_cell_angle_alpha 90.00
_cell_angle_beta 106.72
_cell_angle_gamma 90.00
loop_
_atom_site_label
_atom_site_fract_x
_atom_site_fract_y
_atom_site_fract_z
Na1 0.0000 0.2437 0.0000
Na2 0.1693 0.2471 0.6694
Cd1 0.0000 0.5000 0.5000
Hg1 0.0000 0.0000 0.5000
Hg2 0.1607 0.5000 0.1615
Hg3 0.1664 0.0000 0.1654
```

The 10 most intense peaks (2θ from 10° to 90°), in order of rising 2θ:
two_theta	d/Å	I (rel.)	index
23.53	3.781	100	0 2 0
24.41	3.647	46	4 0 -1
33.52	2.674	71	2 2 1
34.01	2.636	34	2 0 -2
34.16	2.625	67	4 2 -1
34.31	2.614	33	6 0 0
41.77	2.163	23	2 2 -2
42.02	2.150	23	6 2 0
48.13	1.891	26	0 4 0
54.25	1.691	22	2 4 1

Record 3
Computed X-ray diffraction stick pattern
Compound: NaCd3Hg4
Radiation: Cu Ka
Structure: a PBE-relaxed structure
Peak positions follow from Bragg's law for the DFT cell and can differ from measured ones.

Crystal structure
```
data_NaCd3Hg4
_chemical_formula_sum 'Na2 Cd6 Hg8'
_space_group_name_H-M_alt 'P m m a'
_space_group_IT_number 51
_space_group_name_Hall '-P 2a 2a'
_cell_length_a 9.9198
_cell_length_b 7.8924
_cell_length_c 4.9545
_cell_angle_alpha 90.00
_cell_angle_beta 90.00
_cell_angle_gamma 90.00
loop_
_atom_site_label
_atom_site_fract_x
_atom_site_fract_y
_atom_site_fract_z
Na1 0.0000 0.0000 0.0000
Cd1 0.0000 0.5000 0.0000
Cd2 0.2500 0.0000 0.4900
Cd3 0.2500 0.5000 0.4884
Hg1 0.0000 0.2502 0.5000
Hg2 0.2500 0.2503 0.9902
```

The 10 most intense peaks (2θ from 10° to 90°), in order of rising 2θ:
two_theta	d/Å	I (rel.)	index
25.41	3.505	14	2 0 1
34.22	2.621	100	2 2 1
36.24	2.479	43	4 0 0
46.00	1.973	11	0 4 0
52.19	1.753	15	4 0 2
59.92	1.544	20	4 4 0
63.87	1.457	16	6 2 1
63.92	1.456	16	2 2 3
72.08	1.310	11	4 4 2
77.51	1.232	9	2 6 1

Record 4
Computed X-ray diffraction stick pattern
Compound: Na2CdHg3
Radiation: Cu Ka
Structure: a PBE-relaxed structure
Peak positions follow from Bragg's law for the DFT cell and can differ from measured ones.

Crystal structure
```
data_Na2CdHg3
_chemical_formula_sum 'Na4 Cd2 Hg6'
_space_group_name_H-M_alt 'I m m 2'
_space_group_IT_number 44
_space_group_name_Hall 'I 2 -2'
_cell_length_a 3.3815
_cell_length_b 4.8771
_cell_length_c 20.2167
_cell_angle_alpha 90.00
_cell_angle_beta 90.00
_cell_angle_gamma 90.00
loop_
_atom_site_label
_atom_site_fract_x
_atom_site_fract_y
_atom_site_fract_z
Na1 0.0000 0.0000 0.0000
Na2 0.0000 0.5000 0.2197
Cd1 0.0000 0.0000 0.4176
Hg1 0.0000 0.0000 0.5651
Hg2 0.0000 0.5000 0.6484
Hg3 0.0000 0.5000 0.7972
```

The 10 most intense peaks (2θ from 10° to 90°), in order of rising 2θ:
two_theta	d/Å	I (rel.)	index
18.72	4.741	100	0 1 1
26.73	3.335	71	1 0 1
28.68	3.113	27	0 1 5
33.44	2.679	80	1 1 2
34.58	2.594	34	1 0 5
36.15	2.485	75	0 1 7
36.86	2.439	42	0 2 0
42.15	2.144	71	1 1 6
46.11	1.968	34	1 2 1
66.94	1.398	25	2 1 7